Record 1
Starting from a structure optimized by DFT (PBE), the powder diffraction line list of Na5Sn12Hg2 was computed for copper Kα.

Most intense lines, 15 to 90 degrees two-theta, by angle:
15.56 deg, I = 41
20.49 deg, I = 49
31.42 deg, I = 80
32.30 deg, I = 84
32.92 deg, I = 100
33.58 deg, I = 89
35.66 deg, I = 66
36.17 deg, I = 34
37.08 deg, I = 46
45.95 deg, I = 41

Structural model:
a = 14.4019 Å, b = 14.4019 Å, c = 5.3432 Å
α = 92.55°, β = 92.55°, γ = 28.99°
Sites, in units of the cell vectors:
Na 0.0000 0.0000 0.0000
Na 0.2631 0.2631 0.0017
Na 0.3908 0.3908 0.5602
Na 0.6092 0.6092 0.4398
Na 0.7369 0.7369 0.9983
Sn 0.0097 0.5968 0.5092
Sn 0.0794 0.6532 0.0297
Sn 0.0899 0.0899 0.4718
Sn 0.3468 0.9206 0.9703
Sn 0.4032 0.9903 0.4908
Sn 0.4505 0.4505 0.0840
Sn 0.5495 0.5495 0.9160
Sn 0.5968 0.0097 0.5092
Sn 0.6532 0.0794 0.0297
Sn 0.9101 0.9101 0.5282
Sn 0.9206 0.3468 0.9703
Sn 0.9903 0.4032 0.4908
Hg 0.2618 0.7382 0.5000
Hg 0.7382 0.2618 0.5000



Record 2
Starting from a structure optimized by DFT (PBE), the powder diffraction line list of NaSn2Hg2 was computed for copper Kα.

Most intense lines, 15 to 90 degrees two-theta, by angle:
19.44 deg, I = 33
29.52 deg, I = 100
36.52 deg, I = 63
39.18 deg, I = 87
39.47 deg, I = 28
52.61 deg, I = 22
58.75 deg, I = 15
61.48 deg, I = 26
67.51 deg, I = 37
72.71 deg, I = 16

Structural model:
a = 4.9208 Å, b = 4.9208 Å, c = 12.2561 Å
α = 90.00°, β = 90.00°, γ = 90.00°
Sites, in units of the cell vectors:
Na 0.0000 0.0000 0.0000
Na 0.5000 0.5000 0.5000
Sn 0.0000 0.0000 0.3842
Sn 0.0000 0.0000 0.6158
Sn 0.5000 0.5000 0.1158
Sn 0.5000 0.5000 0.8842
Hg 0.0000 0.5000 0.2500
Hg 0.0000 0.5000 0.7500
Hg 0.5000 0.0000 0.2500
Hg 0.5000 0.0000 0.7500



Record 3
Starting from a structure optimized by DFT (PBE), the powder diffraction line list of NaSn5Hg3 was computed for copper Kα.

Most intense lines, 15 to 90 degrees two-theta, by angle:
16.64 deg, I = 50
20.45 deg, I = 100
26.48 deg, I = 74
30.66 deg, I = 46
33.32 deg, I = 55
33.65 deg, I = 68
34.77 deg, I = 64
36.91 deg, I = 66
39.69 deg, I = 55
41.58 deg, I = 62

Structural model:
a = 8.3847 Å, b = 8.3847 Å, c = 10.9094 Å
α = 119.84°, β = 119.84°, γ = 62.40°
Sites, in units of the cell vectors:
Na 0.1421 0.1421 0.3659
Na 0.8579 0.8579 0.6341
Sn 0.1542 0.6665 0.2244
Sn 0.2224 0.2224 0.0302
Sn 0.3263 0.6737 0.0000
Sn 0.3335 0.8458 0.7756
Sn 0.4149 0.4149 0.6793
Sn 0.5851 0.5851 0.3207
Sn 0.6665 0.1542 0.2244
Sn 0.6737 0.3263 0.0000
Sn 0.7776 0.7776 0.9698
Sn 0.8458 0.3335 0.7756
Hg 0.0000 0.0000 0.0000
Hg 0.0000 0.0000 0.5000
Hg 0.2518 0.2518 0.7590
Hg 0.3617 0.3617 0.3781
Hg 0.6383 0.6383 0.6219
Hg 0.7482 0.7482 0.2410



Record 4
Starting from a structure optimized by DFT (PBE), the powder diffraction line list of Na3Sn3Hg2 was computed for copper Kα.

Most intense lines, 15 to 90 degrees two-theta, by angle:
15.59 deg, I = 71
21.07 deg, I = 97
22.33 deg, I = 70
26.46 deg, I = 39
29.60 deg, I = 63
34.35 deg, I = 100
37.26 deg, I = 57
38.15 deg, I = 52
38.29 deg, I = 42
43.18 deg, I = 84

Structural model:
a = 6.1537 Å, b = 6.1537 Å, c = 16.7308 Å
α = 90.00°, β = 90.00°, γ = 134.92°
Sites, in units of the cell vectors:
Na 0.0734 0.9266 0.6154
Na 0.0734 0.9266 0.8846
Na 0.3460 0.6540 0.7500
Na 0.6540 0.3460 0.2500
Na 0.9266 0.0734 0.1154
Na 0.9266 0.0734 0.3846
Sn 0.3709 0.6291 0.2500
Sn 0.3813 0.6187 0.5359
Sn 0.3813 0.6187 0.9641
Sn 0.6187 0.3813 0.0359
Sn 0.6187 0.3813 0.4641
Sn 0.6291 0.3709 0.7500
Hg 0.2172 0.7828 0.1142
Hg 0.2172 0.7828 0.3858
Hg 0.7828 0.2172 0.6142
Hg 0.7828 0.2172 0.8858



Record 5
Starting from a structure optimized by DFT (PBE), the powder diffraction line list of NaSn2Hg4 was computed for copper Kα.

Most intense lines, 15 to 90 degrees two-theta, by angle:
19.51 deg, I = 84
29.72 deg, I = 43
34.13 deg, I = 100
35.80 deg, I = 46
45.88 deg, I = 81
50.30 deg, I = 18
61.11 deg, I = 19
62.19 deg, I = 19
69.41 deg, I = 24
72.45 deg, I = 24

Structural model:
a = 9.1026 Å, b = 5.2518 Å, c = 9.0177 Å
α = 90.00°, β = 90.08°, γ = 90.00°
Sites, in units of the cell vectors:
Na 0.0000 0.0000 0.0000
Na 0.5000 0.5000 0.0000
Sn 0.1666 0.5000 0.4997
Sn 0.3334 0.0000 0.5003
Sn 0.6666 0.0000 0.4997
Sn 0.8334 0.5000 0.5003
Hg 0.1661 0.5000 0.8320
Hg 0.1671 0.5000 0.1676
Hg 0.3329 0.0000 0.8324
Hg 0.3339 0.0000 0.1680
Hg 0.6661 0.0000 0.8320
Hg 0.6671 0.0000 0.1676
Hg 0.8329 0.5000 0.8324
Hg 0.8339 0.5000 0.1680



Record 6
Starting from a structure optimized by DFT (PBE), the powder diffraction line list of NaSnHg6 was computed for copper Kα.

Most intense lines, 15 to 90 degrees two-theta, by angle:
29.09 deg, I = 11
33.97 deg, I = 100
34.08 deg, I = 16
34.71 deg, I = 29
38.39 deg, I = 17
40.75 deg, I = 9
48.17 deg, I = 11
49.44 deg, I = 11
60.72 deg, I = 10
61.74 deg, I = 18

Structural model:
a = 5.1687 Å, b = 7.5582 Å, c = 10.5227 Å
α = 90.00°, β = 90.00°, γ = 90.00°
Sites, in units of the cell vectors:
Na 0.0000 0.0000 0.0000
Na 0.0000 0.5000 0.5000
Sn 0.5000 0.0000 0.7441
Sn 0.5000 0.5000 0.2441
Hg 0.0000 0.0000 0.5342
Hg 0.0000 0.2258 0.2670
Hg 0.0000 0.2742 0.7670
Hg 0.0000 0.5000 0.0342
Hg 0.0000 0.7258 0.7670
Hg 0.0000 0.7742 0.2670
Hg 0.5000 0.0000 0.1922
Hg 0.5000 0.2265 0.4688
Hg 0.5000 0.2735 0.9688
Hg 0.5000 0.5000 0.6922
Hg 0.5000 0.7265 0.9688
Hg 0.5000 0.7735 0.4688



Record 7
Starting from a structure optimized by DFT (PBE), the powder diffraction line list of Na3SnHg7 was computed for copper Kα.

Most intense lines, 15 to 90 degrees two-theta, by angle:
15.50 deg, I = 19
21.86 deg, I = 30
24.21 deg, I = 26
31.30 deg, I = 19
31.99 deg, I = 100
35.29 deg, I = 56
35.46 deg, I = 33
36.03 deg, I = 67
37.01 deg, I = 16
48.99 deg, I = 21

Structural model:
a = 12.3408 Å, b = 12.3408 Å, c = 12.9410 Å
α = 90.00°, β = 90.00°, γ = 162.67°
Sites, in units of the cell vectors:
Na 0.0797 0.9203 0.5368
Na 0.0797 0.9203 0.9632
Na 0.2405 0.7595 0.2500
Na 0.7595 0.2405 0.7500
Na 0.9203 0.0797 0.0368
Na 0.9203 0.0797 0.4632
Sn 0.0997 0.9003 0.2500
Sn 0.9003 0.0997 0.7500
Hg 0.2058 0.7942 0.5826
Hg 0.2058 0.7942 0.9174
Hg 0.3365 0.6635 0.5971
Hg 0.3365 0.6635 0.9029
Hg 0.3795 0.6205 0.2500
Hg 0.4896 0.5104 0.6294
Hg 0.4896 0.5104 0.8706
Hg 0.5104 0.4896 0.1294
Hg 0.5104 0.4896 0.3706
Hg 0.6205 0.3795 0.7500
Hg 0.6635 0.3365 0.0971
Hg 0.6635 0.3365 0.4029
Hg 0.7942 0.2058 0.0826
Hg 0.7942 0.2058 0.4174



Record 8
Starting from a structure optimized by DFT (PBE), the powder diffraction line list of Na3Sn2Hg3 was computed for copper Kα.

Most intense lines, 15 to 90 degrees two-theta, by angle:
21.35 deg, I = 31
22.78 deg, I = 28
33.24 deg, I = 100
35.09 deg, I = 21
37.79 deg, I = 18
42.53 deg, I = 13
43.81 deg, I = 10
56.28 deg, I = 11
58.18 deg, I = 10
71.92 deg, I = 11

Structural model:
a = 4.2516 Å, b = 4.7607 Å, c = 10.7049 Å
α = 102.65°, β = 101.40°, γ = 90.03°
Sites, in units of the cell vectors:
Na 0.0000 0.0000 0.0000
Na 0.1250 0.6263 0.2508
Na 0.8750 0.3737 0.7492
Sn 0.2462 0.2452 0.4905
Sn 0.7538 0.7548 0.5095
Hg 0.3787 0.8770 0.7560
Hg 0.5000 0.5000 0.0000
Hg 0.6213 0.1230 0.2440



Record 9
Starting from a structure optimized by DFT (PBE), the powder diffraction line list of Na4SnHg5 was computed for copper Kα.

Most intense lines, 15 to 90 degrees two-theta, by angle:
23.72 deg, I = 51
24.35 deg, I = 24
33.80 deg, I = 52
34.25 deg, I = 100
42.09 deg, I = 23
48.54 deg, I = 19
55.03 deg, I = 11
60.75 deg, I = 39
61.62 deg, I = 18
72.16 deg, I = 11

Structural model:
a = 3.7509 Å, b = 3.7509 Å, c = 18.2805 Å
α = 90.00°, β = 90.00°, γ = 90.00°
Sites, in units of the cell vectors:
Na 0.0000 0.0000 0.1003
Na 0.0000 0.0000 0.3028
Na 0.0000 0.0000 0.6972
Na 0.0000 0.0000 0.8997
Sn 0.0000 0.0000 0.5000
Hg 0.5000 0.5000 0.0000
Hg 0.5000 0.5000 0.1992
Hg 0.5000 0.5000 0.3952
Hg 0.5000 0.5000 0.6048
Hg 0.5000 0.5000 0.8008



Record 10
Starting from a structure optimized by DFT (PBE), the powder diffraction line list of Na3Sn2Hg9 was computed for copper Kα.

Most intense lines, 15 to 90 degrees two-theta, by angle:
18.58 deg, I = 43
19.45 deg, I = 65
20.75 deg, I = 50
27.79 deg, I = 37
31.46 deg, I = 47
31.95 deg, I = 100
37.10 deg, I = 50
37.69 deg, I = 50
38.37 deg, I = 31
39.93 deg, I = 40

Structural model:
a = 8.5904 Å, b = 8.5904 Å, c = 5.9681 Å
α = 92.11°, β = 92.11°, γ = 64.19°
Sites, in units of the cell vectors:
Na 0.0000 0.0000 0.0000
Na 0.2935 0.2935 0.2741
Na 0.7065 0.7065 0.7259
Sn 0.3377 0.6623 0.5000
Sn 0.6623 0.3377 0.5000
Hg 0.0056 0.3216 0.6580
Hg 0.1204 0.5888 0.8555
Hg 0.3216 0.0056 0.6580
Hg 0.4112 0.8796 0.1445
Hg 0.5000 0.5000 0.0000
Hg 0.5888 0.1204 0.8555
Hg 0.6784 0.9944 0.3420
Hg 0.8796 0.4112 0.1445
Hg 0.9944 0.6784 0.3420



Record 11
Starting from a structure optimized by DFT (PBE), the powder diffraction line list of NaSn2Hg3 was computed for copper Kα.

Most intense lines, 15 to 90 degrees two-theta, by angle:
24.08 deg, I = 17
33.95 deg, I = 100
34.13 deg, I = 25
34.51 deg, I = 24
49.32 deg, I = 18
60.41 deg, I = 10
60.65 deg, I = 10
60.99 deg, I = 19
61.47 deg, I = 19
71.46 deg, I = 12

Structural model:
a = 5.1984 Å, b = 15.7605 Å, c = 3.7737 Å
α = 90.00°, β = 90.00°, γ = 90.00°
Sites, in units of the cell vectors:
Na 0.2500 0.2500 0.0007
Na 0.7500 0.7500 0.9993
Sn 0.2500 0.5859 0.9993
Sn 0.2500 0.9141 0.9993
Sn 0.7500 0.0859 0.0007
Sn 0.7500 0.4141 0.0007
Hg 0.2500 0.0833 0.5004
Hg 0.2500 0.4167 0.5004
Hg 0.2500 0.7500 0.4996
Hg 0.7500 0.2500 0.5004
Hg 0.7500 0.5833 0.4996
Hg 0.7500 0.9167 0.4996



Record 12
Starting from a structure optimized by DFT (PBE), the powder diffraction line list of Na2Sn2Hg5 was computed for copper Kα.

Most intense lines, 15 to 90 degrees two-theta, by angle:
21.68 deg, I = 63
33.29 deg, I = 100
34.60 deg, I = 77
34.73 deg, I = 38
41.04 deg, I = 32
48.85 deg, I = 23
54.83 deg, I = 17
61.16 deg, I = 24
62.18 deg, I = 15
66.25 deg, I = 19

Structural model:
a = 10.0948 Å, b = 5.1853 Å, c = 5.1853 Å
α = 59.74°, β = 90.00°, γ = 90.00°
Sites, in units of the cell vectors:
Na 0.0000 0.0000 0.0000
Na 0.5000 0.3304 0.3304
Sn 0.2102 0.6654 0.6654
Sn 0.7898 0.6654 0.6654
Hg 0.1492 0.3329 0.3329
Hg 0.3403 0.9972 0.9972
Hg 0.5000 0.6633 0.6633
Hg 0.6597 0.9972 0.9972
Hg 0.8508 0.3329 0.3329



Record 13
Starting from a structure optimized by DFT (PBE), the powder diffraction line list of Na4SnHg6 was computed for copper Kα.

Most intense lines, 15 to 90 degrees two-theta, by angle:
21.67 deg, I = 59
24.10 deg, I = 49
30.46 deg, I = 47
33.82 deg, I = 15
34.74 deg, I = 16
36.63 deg, I = 100
37.20 deg, I = 30
39.57 deg, I = 22
44.81 deg, I = 21
66.69 deg, I = 17

Structural model:
a = 9.1310 Å, b = 8.8118 Å, c = 6.4045 Å
α = 71.78°, β = 66.44°, γ = 41.78°
Sites, in units of the cell vectors:
Na 0.0720 0.5885 0.9280
Na 0.2161 0.7839 0.2161
Na 0.5885 0.0720 0.4115
Na 0.7839 0.2161 0.7839
Sn 0.1681 0.1681 0.8319
Hg 0.0552 0.5550 0.4450
Hg 0.1586 0.1586 0.3414
Hg 0.3352 0.7315 0.6648
Hg 0.5550 0.0552 0.9448
Hg 0.6586 0.6586 0.8414
Hg 0.7315 0.3352 0.2685